1.
Structure and computed powder XRD pattern of TbTlBi2O4 (a cell relaxed with PBE; Cu Kα, 1.54184 Å).

Top 12 peaks for 10° ≤ 2θ ≤ 90°, in order of rising 2θ:
- hkl 1 0 2, 2θ 28.39, I = 1000
- hkl 1 1 0, 2θ 32.28, I = 302
- hkl 0 0 4, 2θ 34.12, I = 126
- hkl 2 0 0, 2θ 46.30, I = 159
- hkl 1 1 4, 2θ 47.67, I = 280
- hkl 2 1 2, 2θ 55.21, I = 324
- hkl 1 0 6, 2θ 57.62, I = 132
- hkl 2 0 4, 2θ 58.75, I = 114
- hkl 3 0 2, 2θ 74.84, I = 67
- hkl 2 1 6, 2θ 76.90, I = 172
- hkl 2 2 4, 2θ 77.89, I = 52
- hkl 3 1 4, 2θ 86.83, I = 103

Structural model:
Unit cell a=3.9221 b=3.9221 c=10.5123 alpha=90.00 beta=90.00 gamma=90.00
Space group P4/mmm (No. 123)
One atom of each set of equivalent atoms:
Tb  0.0000  0.0000  0.0000 x1
Tl  0.0000  0.0000  0.5000 x1
Bi  0.5000  0.5000  0.2393 x2
O  0.0000  0.5000  0.1324 x4


2.
Structure and computed powder XRD pattern of Hf6ZnGa (a cell relaxed with PBE; Cu Kα, 1.54184 Å).

Top 12 peaks for 10° ≤ 2θ ≤ 90°, in order of rising 2θ:
- hkl 1 0 1, 2θ 23.08, I = 141
- hkl 2 0 0, 2θ 32.87, I = 170
- hkl 2 0 -1, 2θ 36.89, I = 1000
- hkl 2 1 1, 2θ 40.55, I = 384
- hkl 1 0 -3, 2θ 53.15, I = 32
- hkl 2 2 2, 2θ 58.69, I = 148
- hkl 3 0 -2, 2θ 61.34, I = 231
- hkl 3 2 -1, 2θ 63.92, I = 199
- hkl 4 0 0, 2θ 68.93, I = 117
- hkl 4 2 0, 2θ 78.50, I = 55
- hkl 4 2 1, 2θ 80.83, I = 212
- hkl 3 2 3, 2θ 83.15, I = 48

Structural model:
Unit cell a=5.4492 b=5.4485 c=5.4495 alpha=90.00 beta=90.04 gamma=90.00
Space group P2/m (No. 10)
One atom of each set of equivalent atoms:
Hf  0.0000  0.2497  0.0000 x2
Hf  0.2505  0.0000  0.4998 x2
Hf  0.4991  0.5000  0.7504 x2
Zn  0.5000  0.0000  0.0000 x1
Ga  0.0000  0.5000  0.5000 x1


3.
Structure and computed powder XRD pattern of ReTe (a cell relaxed with PBE; Cu Kα, 1.54184 Å).

Top 12 peaks for 10° ≤ 2θ ≤ 90°, in order of rising 2θ:
- hkl 2 0 0, 2θ 12.92, I = 938
- hkl 0 0 1, 2θ 13.52, I = 1000
- hkl 2 0 -2, 2θ 27.17, I = 309
- hkl 4 0 -2, 2θ 32.84, I = 264
- hkl 1 1 1, 2θ 32.95, I = 858
- hkl 3 1 1, 2θ 39.15, I = 597
- hkl 6 0 0, 2θ 39.46, I = 264
- hkl 1 1 2, 2θ 41.45, I = 586
- hkl 4 0 -3, 2θ 43.30, I = 270
- hkl 5 1 -1, 2θ 43.42, I = 471
- hkl 2 0 3, 2θ 46.67, I = 238
- hkl 5 1 -2, 2θ 47.47, I = 462

Structural model:
Unit cell a=14.1377 b=3.1437 c=6.7603 alpha=90.00 beta=104.28 gamma=90.00
Space group Cm (No. 8)
One atom of each set of equivalent atoms:
Re  0.0000  0.0000  0.0000 x2
Re  0.0210  0.5000  0.6888 x2
Re  0.1562  0.0000  0.8502 x2
Te  0.1606  0.5000  0.1906 x2
Te  0.3458  0.0000  0.8132 x2
Te  0.4332  0.5000  0.3507 x2


4.
Structure and computed powder XRD pattern of Sn (a cell relaxed with PBE; Cu Kα, 1.54184 Å).

Top 12 peaks for 10° ≤ 2θ ≤ 90°, in order of rising 2θ:
- hkl 2 0 0, 2θ 29.28, I = 915
- hkl 2 1 0, 2θ 32.83, I = 1000
- hkl 2 1 1, 2θ 36.07, I = 206
- hkl 2 2 0, 2θ 41.89, I = 385
- hkl 2 2 1, 2θ 44.56, I = 474
- hkl 3 1 2, 2θ 56.44, I = 370
- hkl 4 1 0, 2θ 62.81, I = 392
- hkl 4 1 1, 2θ 64.85, I = 85
- hkl 4 1 2, 2θ 70.78, I = 276
- hkl 4 3 1, 2θ 80.24, I = 309
- hkl 3 3 3, 2θ 82.10, I = 78
- hkl 5 1 2, 2θ 87.61, I = 133

Structural model:
Unit cell a=6.0999 b=6.0999 c=6.0999 alpha=90.00 beta=90.00 gamma=90.00
Space group Pa-3 (No. 205)
One atom of each set of equivalent atoms:
Sn  0.1909  0.1909  0.1909 x8


5.
Structure and computed powder XRD pattern of Sm4Zn2Hg5 (a cell relaxed with PBE; Cu Kα, 1.54184 Å).

Top 12 peaks for 10° ≤ 2θ ≤ 90°, in order of rising 2θ:
- hkl 0 1 0, 2θ 23.64, I = 221
- hkl 1 0 -3, 2θ 30.18, I = 396
- hkl 1 1 -2, 2θ 32.24, I = 1000
- hkl 1 1 2, 2θ 32.63, I = 719
- hkl 2 1 0, 2θ 32.88, I = 622
- hkl 2 1 -1, 2θ 34.07, I = 527
- hkl 3 0 1, 2θ 35.68, I = 253
- hkl 0 0 4, 2θ 37.99, I = 300
- hkl 3 0 -2, 2θ 38.67, I = 452
- hkl 3 0 2, 2θ 39.66, I = 220
- hkl 0 2 0, 2θ 48.37, I = 347
- hkl 2 1 -5, 2θ 58.81, I = 224

Structural model:
Unit cell a=7.8971 b=3.7633 c=9.4773 alpha=90.00 beta=91.66 gamma=90.00
Space group P2/m (No. 10)
One atom of each set of equivalent atoms:
Sm  0.1997  0.0000  0.1399 x2
Sm  0.2551  0.0000  0.5989 x2
Zn  0.0615  0.5000  0.3794 x2
Hg  0.1404  0.5000  0.8656 x2
Hg  0.4166  0.5000  0.3469 x2
Hg  0.5000  0.5000  0.0000 x1


6.
Structure and computed powder XRD pattern of Pu2TaS5 (a cell relaxed with PBE; Cu Kα, 1.54184 Å).

Top 12 peaks for 10° ≤ 2θ ≤ 90°, in order of rising 2θ:
- hkl 0 2 0, 2θ 13.75, I = 628
- hkl 1 1 0, 2θ 18.26, I = 955
- hkl 0 2 3, 2θ 25.79, I = 1000
- hkl 1 3 0, 2θ 26.84, I = 620
- hkl 1 1 3, 2θ 28.51, I = 833
- hkl 0 4 2, 2θ 31.37, I = 198
- hkl 2 0 0, 2θ 34.18, I = 500
- hkl 0 4 3, 2θ 35.47, I = 431
- hkl 2 2 3, 2θ 43.31, I = 510
- hkl 1 5 3, 2θ 45.03, I = 359
- hkl 2 4 3, 2θ 50.08, I = 320
- hkl 2 0 6, 2θ 57.05, I = 204

Structural model:
Unit cell a=5.2466 b=12.8774 c=12.2825 alpha=90.00 beta=90.00 gamma=90.00
Space group Cmcm (No. 63)
One atom of each set of equivalent atoms:
Pu  0.0000  0.1492  0.0672 x8
Ta  0.0000  0.1971  0.7500 x4
S  0.0000  0.0518  0.6256 x8
S  0.0000  0.2790  0.2500 x4
S  0.0000  0.3129  0.5858 x8


7.
Structure and computed powder XRD pattern of Pr6InNi2Br3 (a cell relaxed with PBE; Cu Kα, 1.54184 Å).

Top 12 peaks for 10° ≤ 2θ ≤ 90°, in order of rising 2θ:
- hkl 2 0 -1, 2θ 11.51, I = 123
- hkl 3 1 0, 2θ 26.05, I = 91
- hkl 6 0 0, 2θ 28.45, I = 527
- hkl 1 1 -2, 2θ 29.09, I = 1000
- hkl 2 0 -4, 2θ 38.64, I = 160
- hkl 7 1 -2, 2θ 40.35, I = 346
- hkl 5 1 2, 2θ 41.92, I = 347
- hkl 0 2 0, 2θ 44.39, I = 183
- hkl 4 0 4, 2θ 50.04, I = 76
- hkl 6 2 0, 2θ 53.58, I = 177
- hkl 2 2 -4, 2θ 60.29, I = 85
- hkl 1 3 -2, 2θ 72.36, I = 71

Structural model:
Unit cell a=19.6698 b=4.0812 c=9.3342 alpha=90.00 beta=106.88 gamma=90.00
Space group C2/m (No. 12)
One atom of each set of equivalent atoms:
Pr  0.0161  0.0000  0.2623 x4
Pr  0.1668  0.5000  0.1324 x4
Pr  0.1790  0.5000  0.5549 x4
In  0.0000  0.5000  0.0000 x2
Ni  0.1686  0.0000  0.3422 x4
Br  0.0000  0.5000  0.5000 x2
Br  0.1630  0.0000  0.8350 x4


8.
Structure and computed powder XRD pattern of MnCoSi2 (a cell relaxed with PBE; Cu Kα, 1.54184 Å).

Top 12 peaks for 10° ≤ 2θ ≤ 90°, in order of rising 2θ:
- hkl 1 0 -1, 2θ 27.94, I = 97
- hkl 0 1 1, 2θ 28.27, I = 304
- hkl 1 1 -1, 2θ 34.63, I = 136
- hkl 1 1 1, 2θ 34.85, I = 171
- hkl 2 0 -1, 2θ 44.95, I = 299
- hkl 0 1 2, 2θ 45.25, I = 1000
- hkl 1 2 0, 2θ 45.66, I = 675
- hkl 1 1 -2, 2θ 49.65, I = 364
- hkl 1 1 2, 2θ 49.98, I = 335
- hkl 1 2 -1, 2θ 50.12, I = 151
- hkl 1 2 1, 2θ 50.28, I = 133
- hkl 1 3 -2, 2θ 80.61, I = 99

Structural model:
Unit cell a=4.4919 b=4.4306 c=4.4975 alpha=90.00 beta=90.53 gamma=90.00
Space group P2_1 (No. 4)
One atom of each set of equivalent atoms:
Mn  0.1060  0.0000  0.3710 x2
Co  0.3910  0.2261  0.8629 x2
Si  0.0879  0.5204  0.1475 x2
Si  0.4128  0.7038  0.6565 x2


9.
Structure and computed powder XRD pattern of Ac3Ga4Ir4 (a cell relaxed with PBE; Cu Kα, 1.54184 Å).

Top 12 peaks for 10° ≤ 2θ ≤ 90°, in order of rising 2θ:
- hkl 0 1 5, 2θ 26.71, I = 126
- hkl 0 1 7, 2θ 31.81, I = 351
- hkl 1 1 4, 2θ 32.04, I = 1000
- hkl 1 0 9, 2θ 37.67, I = 236
- hkl 0 2 0, 2θ 41.05, I = 247
- hkl 2 0 0, 2θ 41.21, I = 244
- hkl 1 0 11, 2θ 44.02, I = 121
- hkl 2 1 7, 2θ 52.97, I = 170
- hkl 1 2 9, 2θ 56.94, I = 145
- hkl 2 2 0, 2θ 59.58, I = 167
- hkl 1 1 16, 2θ 65.58, I = 158
- hkl 1 3 4, 2θ 69.15, I = 113

Structural model:
Unit cell a=4.3808 b=4.3973 c=25.6302 alpha=90.00 beta=90.00 gamma=90.00
Space group Immm (No. 71)
One atom of each set of equivalent atoms:
Ac  0.0000  0.0000  0.0000 x2
Ac  0.0000  0.5000  0.3482 x4
Ga  0.0000  0.0000  0.4474 x4
Ga  0.0000  0.5000  0.2005 x4
Ir  0.0000  0.0000  0.2496 x4
Ir  0.0000  0.5000  0.0995 x4


10.
Structure and computed powder XRD pattern of NpGeRh6 (a cell relaxed with PBE; Cu Kα, 1.54184 Å).

Top 12 peaks for 10° ≤ 2θ ≤ 90°, in order of rising 2θ:
- hkl 1 1 0, 2θ 16.06, I = 116
- hkl 1 1 1, 2θ 27.46, I = 84
- hkl 2 2 1, 2θ 39.62, I = 1000
- hkl 1 3 1, 2θ 42.13, I = 97
- hkl 0 4 0, 2θ 44.88, I = 168
- hkl 0 0 2, 2θ 45.15, I = 184
- hkl 4 0 0, 2θ 48.17, I = 145
- hkl 0 4 2, 2θ 65.55, I = 108
- hkl 4 0 2, 2θ 68.14, I = 91
- hkl 2 6 1, 2θ 79.19, I = 105
- hkl 2 2 3, 2θ 79.58, I = 129
- hkl 4 4 2, 2θ 85.36, I = 89

Structural model:
Unit cell a=7.5577 b=8.0790 c=4.0165 alpha=90.00 beta=90.00 gamma=90.00
Space group Cmmm (No. 65)
One atom of each set of equivalent atoms:
Np  0.0000  0.0000  0.0000 x2
Ge  0.0000  0.5000  0.0000 x2
Rh  0.0000  0.2221  0.5000 x4
Rh  0.2156  0.5000  0.5000 x4
Rh  0.2500  0.2500  0.0000 x4


11.
Structure and computed powder XRD pattern of Sm3Zn2Au (a cell relaxed with PBE; Cu Kα, 1.54184 Å).

Top 12 peaks for 10° ≤ 2θ ≤ 90°, in order of rising 2θ:
- hkl 0 0 1, 2θ 14.00, I = 31
- hkl 1 0 0, 2θ 19.82, I = 49
- hkl 0 1 1, 2θ 24.34, I = 58
- hkl 1 1 0, 2θ 34.70, I = 1000
- hkl 1 1 1, 2θ 37.57, I = 19
- hkl 2 0 1, 2θ 42.83, I = 15
- hkl 1 1 2, 2θ 45.29, I = 22
- hkl 2 0 2, 2θ 49.88, I = 179
- hkl 1 2 1, 2θ 56.25, I = 18
- hkl 3 0 0, 2θ 62.19, I = 370
- hkl 2 2 0, 2θ 73.22, I = 115
- hkl 3 1 2, 2θ 83.63, I = 164

Structural model:
Unit cell a=5.1733 b=5.1733 c=6.3267 alpha=90.00 beta=90.00 gamma=120.00
Space group P-3m1 (No. 164)
One atom of each set of equivalent atoms:
Sm  0.0000  0.0000  0.0000 x1
Sm  0.3333  0.6667  0.6629 x2
Zn  0.3333  0.6667  0.1497 x2
Au  0.0000  0.0000  0.5000 x1


12.
Structure and computed powder XRD pattern of Ba4I3O2 (a cell relaxed with PBE; Cu Kα, 1.54184 Å).

Top 12 peaks for 10° ≤ 2θ ≤ 90°, in order of rising 2θ:
- hkl 0 4 0, 2θ 18.49, I = 541
- hkl 2 0 0, 2θ 22.06, I = 287
- hkl 1 4 1, 2θ 23.29, I = 394
- hkl 1 3 2, 2θ 24.97, I = 320
- hkl 2 3 1, 2θ 27.60, I = 1000
- hkl 0 6 0, 2θ 27.90, I = 360
- hkl 2 0 2, 2θ 28.27, I = 578
- hkl 0 3 3, 2θ 29.86, I = 804
- hkl 2 4 2, 2θ 34.00, I = 419
- hkl 0 4 4, 2θ 40.18, I = 321
- hkl 1 9 2, 2θ 47.61, I = 284
- hkl 4 3 3, 2θ 54.94, I = 281

Structural model:
Unit cell a=8.0586 b=19.1903 c=10.1556 alpha=90.00 beta=90.00 gamma=90.00
Space group Imma (No. 74)
One atom of each set of equivalent atoms:
Ba  0.0000  0.0814  0.1095 x8
Ba  0.2500  0.1053  0.7500 x8
I  0.0000  0.1200  0.4591 x8
I  0.0000  0.2500  0.8996 x4
O  0.0000  0.0476  0.8644 x8


Copy entry 5 word for word.
Structure and computed powder XRD pattern of Sm4Zn2Hg5 (a cell relaxed with PBE; Cu Kα, 1.54184 Å).

Top 12 peaks for 10° ≤ 2θ ≤ 90°, in order of rising 2θ:
- hkl 0 1 0, 2θ 23.64, I = 221
- hkl 1 0 -3, 2θ 30.18, I = 396
- hkl 1 1 -2, 2θ 32.24, I = 1000
- hkl 1 1 2, 2θ 32.63, I = 719
- hkl 2 1 0, 2θ 32.88, I = 622
- hkl 2 1 -1, 2θ 34.07, I = 527
- hkl 3 0 1, 2θ 35.68, I = 253
- hkl 0 0 4, 2θ 37.99, I = 300
- hkl 3 0 -2, 2θ 38.67, I = 452
- hkl 3 0 2, 2θ 39.66, I = 220
- hkl 0 2 0, 2θ 48.37, I = 347
- hkl 2 1 -5, 2θ 58.81, I = 224

Structural model:
Unit cell a=7.8971 b=3.7633 c=9.4773 alpha=90.00 beta=91.66 gamma=90.00
Space group P2/m (No. 10)
One atom of each set of equivalent atoms:
Sm  0.1997  0.0000  0.1399 x2
Sm  0.2551  0.0000  0.5989 x2
Zn  0.0615  0.5000  0.3794 x2
Hg  0.1404  0.5000  0.8656 x2
Hg  0.4166  0.5000  0.3469 x2
Hg  0.5000  0.5000  0.0000 x1